Record 1
Starting from a DFT-relaxed cell (PBE, Alexandria), the powder X-ray diffraction pattern of SrY2Cd2 was computed for Cu Kα X-rays.
Lines closer than 0.1° are merged.

Crystal structure
```
data_SrY2Cd2
_cell_length_a 9.238
_cell_length_b 9.238
_cell_length_c 3.517
_cell_angle_alpha 90.00
_cell_angle_beta 90.00
_cell_angle_gamma 90.00
_symmetry_space_group_name_H-M 'P 4/m b m'
_symmetry_Int_Tables_number 127
_symmetry_space_group_name_Hall '-P 4 2ab'
loop_
_atom_site_label
_atom_site_type_symbol
_atom_site_fract_x
_atom_site_fract_y
_atom_site_fract_z
Sr1 Sr 0.000 0.000 0.000
Y1 Y 0.127 0.373 0.000
Cd1 Cd 0.170 0.670 0.500
```

Top 8 peaks for 2θ from 15° to 90°, by angle:
2theta  I_rel  index
27.30  11  2 2 0
30.60  60  3 1 0
31.98  27  2 0 1
33.46  100  2 1 1
48.15  14  4 1 1
57.19  13  5 1 1
60.02  22  6 0 0
61.55  16  3 1 2

***

Record 2
Starting from a DFT-relaxed cell (PBE, Alexandria), the powder X-ray diffraction pattern of Sr2ZnCd6 was computed for Cu Kα X-rays.
Lines closer than 0.1° are merged.

Crystal structure
```
data_Sr2ZnCd6
_cell_length_a 6.4018
_cell_length_b 6.4018
_cell_length_c 6.6589
_cell_angle_alpha 90.00
_cell_angle_beta 90.00
_cell_angle_gamma 120.00
_symmetry_space_group_name_H-M 'P -3 m 1'
_symmetry_Int_Tables_number 164
_symmetry_space_group_name_Hall '-P 3 2"'
loop_
_atom_site_label
_atom_site_type_symbol
_atom_site_fract_x
_atom_site_fract_y
_atom_site_fract_z
Sr1 Sr 0.3333 0.6667 0.1377
Zn1 Zn 0.0000 0.0000 0.0000
Cd1 Cd 0.1727 0.3454 0.6720
```

Top 8 peaks for 2θ from 15° to 90°, by angle:
2theta  I_rel  index
31.00  27  1 1 1
31.34  34  0 1 2
32.29  18  2 0 0
35.06  100  2 0 1
42.43  25  0 2 2
51.53  12  2 1 2
57.59  22  2 2 0
69.24  12  0 4 1

***

Record 3
Starting from a DFT-relaxed cell (PBE, Alexandria), the powder X-ray diffraction pattern of Sr3ZnCd3 was computed for Cu Kα X-rays.
Lines closer than 0.1° are merged.

Crystal structure
```
data_Sr3ZnCd3
_cell_length_a 12.130
_cell_length_b 4.520
_cell_length_c 17.139
_cell_angle_alpha 90.00
_cell_angle_beta 106.57
_cell_angle_gamma 90.00
_symmetry_space_group_name_H-M 'C 1 2/m 1'
_symmetry_Int_Tables_number 12
_symmetry_space_group_name_Hall '-C 2y'
loop_
_atom_site_label
_atom_site_type_symbol
_atom_site_fract_x
_atom_site_fract_y
_atom_site_fract_z
Sr1 Sr 0.013 0.000 0.388
Sr2 Sr 0.112 0.000 0.922
Sr3 Sr 0.241 0.000 0.237
Zn1 Zn 0.220 0.500 0.382
Cd1 Cd 0.027 0.500 0.235
Cd2 Cd 0.103 0.500 0.078
Cd3 Cd 0.169 0.500 0.539
```

Top 8 peaks for 2θ from 15° to 90°, by angle:
2theta  I_rel  index
28.03  53  1 1 3
28.75  100  1 1 -4
29.66  93  3 1 -1
32.74  68  0 0 6
34.54  89  3 1 2
34.90  54  4 0 -5
39.89  59  0 2 0
56.92  36  7 1 -3

***

Record 4
Starting from a DFT-relaxed cell (PBE, Alexandria), the powder X-ray diffraction pattern of SrZn10Cd was computed for Cu Kα X-rays.
Lines closer than 0.1° are merged.

Crystal structure
```
data_SrZn10Cd
_cell_length_a 4.361
_cell_length_b 5.294
_cell_length_c 9.466
_cell_angle_alpha 90.00
_cell_angle_beta 90.00
_cell_angle_gamma 90.00
_symmetry_space_group_name_H-M 'P m m m'
_symmetry_Int_Tables_number 47
_symmetry_space_group_name_Hall '-P 2 2'
loop_
_atom_site_label
_atom_site_type_symbol
_atom_site_fract_x
_atom_site_fract_y
_atom_site_fract_z
Sr1 Sr 0.000 0.000 0.000
Zn1 Zn 0.000 0.000 0.347
Zn2 Zn 0.000 0.500 0.197
Zn3 Zn 0.500 0.000 0.500
Zn4 Zn 0.500 0.244 0.245
Zn5 Zn 0.500 0.500 0.000
Cd1 Cd 0.000 0.500 0.500
```

Top 8 peaks for 2θ from 15° to 90°, by angle:
2theta  I_rel  index
28.14  32  1 1 1
38.02  23  0 0 4
38.98  30  0 2 2
39.13  100  1 1 3
39.84  52  1 2 0
41.41  49  2 0 0
44.37  28  1 2 2
64.12  23  1 3 3